Starting from a cell relaxed with PBE, the powder diffraction line list of Ca2GeO4 was simulated for Cu Kα.
Kinematic intensities with the Lorentz-polarization factor, no thermal factor.

Crystal structure
```
data_Ca2GeO4
_chemical_formula_sum 'Ca8 Ge4 O16'
_cell_length_a 11.520
_cell_length_b 6.849
_cell_length_c 5.292
_cell_angle_alpha 90.00
_cell_angle_beta 90.00
_cell_angle_gamma 90.00
_space_group_name_H-M_alt 'P n m a'
_space_group_IT_number 62
_space_group_name_Hall '-P 2ac 2n'
loop_
_atom_site_label
_atom_site_fract_x
_atom_site_fract_y
_atom_site_fract_z
Ca1 0.000 0.000 0.000
Ca2 0.220 0.250 0.493
Ge1 0.096 0.750 0.431
O1 0.046 0.250 0.714
O2 0.093 0.750 0.764
O3 0.164 0.544 0.284
```

Top 6 peaks for 10° ≤ 2θ ≤ 80°, by intensity:
- 2θ = 32.1°, I 100
- 2θ = 31.6°, I 89
- 2θ = 20.1°, I 70
- 2θ = 28.7°, I 44
- 2θ = 49.6°, I 31
- 2θ = 46.1°, I 29

Starting from a cell relaxed with PBE, the powder diffraction line list of CeMg6Ga was simulated for Cu Kα.
Kinematic intensities with the Lorentz-polarization factor, no thermal factor.

Crystal structure
```
data_CeMg6Ga
_chemical_formula_sum 'Ce2 Mg12 Ga2'
_cell_length_a 5.152
_cell_length_b 6.425
_cell_length_c 11.391
_cell_angle_alpha 90.00
_cell_angle_beta 90.00
_cell_angle_gamma 90.00
_space_group_name_H-M_alt 'A m m 2'
_space_group_IT_number 38
_space_group_name_Hall 'A 2 -2'
loop_
_atom_site_label
_atom_site_fract_x
_atom_site_fract_y
_atom_site_fract_z
Ce1 0.000 0.000 0.000
Mg1 0.000 0.248 0.250
Mg2 0.500 0.000 0.168
Mg3 0.500 0.000 0.665
Mg4 0.500 0.245 0.415
Ga1 0.000 0.000 0.497
```

Top 6 peaks for 10° ≤ 2θ ≤ 80°, by intensity:
- 2θ = 36.5°, I 100
- 2θ = 36.0°, I 52
- 2θ = 15.6°, I 48
- 2θ = 23.3°, I 39
- 2θ = 17.2°, I 39
- 2θ = 34.8°, I 36

Starting from a cell relaxed with PBE, the powder diffraction line list of CdTe was simulated for Cu Kα.
Kinematic intensities with the Lorentz-polarization factor, no thermal factor.

Crystal structure
```
data_CdTe
_chemical_formula_sum 'Cd3 Te3'
_cell_length_a 4.6240
_cell_length_b 4.6240
_cell_length_c 10.5001
_cell_angle_alpha 90.00
_cell_angle_beta 90.00
_cell_angle_gamma 120.00
_space_group_name_H-M_alt 'P 31 2 1'
_space_group_IT_number 152
_space_group_name_Hall 'P 31 2"'
loop_
_atom_site_label
_atom_site_fract_x
_atom_site_fract_y
_atom_site_fract_z
Cd1 0.0000 0.5061 0.1667
Te1 0.0000 0.5026 0.6667
```

Top 6 peaks for 10° ≤ 2θ ≤ 80°, by intensity:
- 2θ = 28.0°, I 100
- 2θ = 41.1°, I 35
- 2θ = 42.7°, I 31
- 2θ = 45.3°, I 30
- 2θ = 22.2°, I 22
- 2θ = 64.0°, I 18